[1]
Starting from a DFT-relaxed cell (GGA-PBE, Alexandria), the powder diffractogram of Sr2Mg5P3N2 was computed for Cu Kα X-rays.

```
Sr2Mg5P3N2
1.0
-2.124 2.124 12.115
2.124 -2.124 12.115
2.124 2.124 -12.115
Sr Mg P N
2 5 3 2
direct
0.195 0.195 0.000
0.805 0.805 0.000
0.000 0.000 0.000
0.088 0.588 0.500
0.412 0.912 0.500
0.588 0.088 0.500
0.912 0.412 0.500
0.331 0.331 0.000
0.500 0.500 0.000
0.669 0.669 0.000
0.085 0.085 0.000
0.915 0.915 0.000
```

Largest 8 diffraction maxima, in order of rising 2θ, 2θ from 5° to 70°:
7.3 deg, d = 12.115 Å, I = 30; 23.7 deg, d = 3.760 Å, I = 38; 27.9 deg, d = 3.195 Å, I = 32; 29.7 deg, d = 3.004 Å, I = 58; 30.7 deg, d = 2.916 Å, I = 45; 33.4 deg, d = 2.684 Å, I = 49; 37.3 deg, d = 2.410 Å, I = 100; 42.6 deg, d = 2.124 Å, I = 78

=====

[2]
Starting from a DFT-relaxed cell (GGA-PBE, Alexandria), the powder diffractogram of BaTeAs2 was computed for Cu Kα X-rays.

```
BaTeAs2
1.0
11.433 0.000 0.000
0.000 3.925 0.000
-2.718 0.000 5.178
Ba Te As
2 2 4
direct
0.000 0.000 0.000
0.500 0.500 0.000
0.299 0.500 0.320
0.799 0.000 0.320
0.046 0.500 0.539
0.212 0.000 0.664
0.546 0.000 0.539
0.712 0.500 0.664
```

Largest 8 diffraction maxima, in order of rising 2θ, 2θ from 5° to 70°:
24.3 deg, d = 3.660 Å, I = 25; 29.9 deg, d = 2.991 Å, I = 30; 30.6 deg, d = 2.920 Å, I = 62; 32.2 deg, d = 2.777 Å, I = 87; 33.1 deg, d = 2.703 Å, I = 100; 46.2 deg, d = 1.963 Å, I = 31; 56.5 deg, d = 1.629 Å, I = 22; 56.6 deg, d = 1.625 Å, I = 22

=====

[3]
Starting from a DFT-relaxed cell (GGA-PBE, Alexandria), the powder diffractogram of BeZn2Se was computed for Cu Kα X-rays.

```
BeZn2Se
1.0
3.306 0.000 0.000
0.000 3.387 0.000
0.000 0.000 11.706
Be Zn Se
2 4 2
direct
0.000 0.000 0.000
0.500 0.500 0.500
0.000 0.500 0.300
0.000 0.500 0.700
0.500 0.000 0.200
0.500 0.000 0.800
0.000 0.000 0.500
0.500 0.500 0.000
```

Largest 8 diffraction maxima, in order of rising 2θ, 2θ from 5° to 70°:
28.0 deg, d = 3.181 Å, I = 49; 30.5 deg, d = 2.927 Å, I = 23; 35.1 deg, d = 2.558 Å, I = 70; 41.2 deg, d = 2.193 Å, I = 100; 47.6 deg, d = 1.911 Å, I = 38; 54.2 deg, d = 1.693 Å, I = 14; 55.6 deg, d = 1.653 Å, I = 13; 67.5 deg, d = 1.388 Å, I = 20

=====

[4]
Starting from a DFT-relaxed cell (GGA-PBE, Alexandria), the powder diffractogram of TbPu2Cu2Si2 was computed for Cu Kα X-rays.

```
TbPu2Cu2Si2
1.0
1.980 1.143 8.890
-1.980 1.143 8.890
0.000 -2.287 8.890
Tb Pu Cu Si
1 2 2 2
direct
0.000 0.000 0.000
0.150 0.150 0.150
0.850 0.850 0.850
0.408 0.408 0.408
0.592 0.592 0.592
0.257 0.257 0.257
0.743 0.743 0.743
```

Largest 8 diffraction maxima, in order of rising 2θ, 2θ from 5° to 70°:
9.9 deg, d = 8.890 Å, I = 77; 20.0 deg, d = 4.445 Å, I = 31; 26.2 deg, d = 3.402 Å, I = 41; 29.3 deg, d = 3.050 Å, I = 21; 31.0 deg, d = 2.885 Å, I = 22; 35.2 deg, d = 2.549 Å, I = 100; 45.8 deg, d = 1.980 Å, I = 70; 59.1 deg, d = 1.564 Å, I = 23

=====

[5]
Starting from a DFT-relaxed cell (GGA-PBE, Alexandria), the powder diffractogram of Ac7La3Sm was computed for Cu Kα X-rays.

```
Ac7La3Sm
1.0
3.682 -10.219 0.000
3.682 10.219 0.000
-0.080 0.000 12.348
Ac La Sm
14 6 2
direct
0.089 0.408 0.543
0.091 0.407 0.963
0.152 0.331 0.253
0.257 0.257 0.751
0.331 0.152 0.253
0.407 0.091 0.963
0.408 0.089 0.543
0.592 0.911 0.457
0.593 0.909 0.037
0.669 0.848 0.747
0.743 0.743 0.249
0.848 0.669 0.747
0.909 0.593 0.037
0.911 0.592 0.457
0.000 0.000 0.000
0.250 0.744 0.244
0.256 0.750 0.756
0.500 0.500 0.500
0.744 0.250 0.244
0.750 0.256 0.756
0.000 0.000 0.500
0.500 0.500 0.000
```

Largest 8 diffraction maxima, in order of rising 2θ, 2θ from 5° to 70°:
26.0 deg, d = 3.433 Å, I = 37; 28.0 deg, d = 3.185 Å, I = 23; 28.1 deg, d = 3.171 Å, I = 24; 28.9 deg, d = 3.087 Å, I = 42; 29.5 deg, d = 3.029 Å, I = 47; 29.6 deg, d = 3.013 Å, I = 46; 29.9 deg, d = 2.984 Å, I = 100; 53.4 deg, d = 1.716 Å, I = 35

=====

[6]
Starting from a DFT-relaxed cell (GGA-PBE, Alexandria), the powder diffractogram of K2ScCl5 was computed for Cu Kα X-rays.

```
K2ScCl5
1.0
2.584 -7.926 0.000
2.584 7.926 0.000
0.000 0.000 14.047
K Sc Cl
4 2 10
direct
0.143 0.857 0.565
0.143 0.857 0.935
0.857 0.143 0.065
0.857 0.143 0.435
0.153 0.847 0.250
0.847 0.153 0.750
0.045 0.955 0.126
0.045 0.955 0.374
0.266 0.734 0.121
0.266 0.734 0.379
0.334 0.666 0.750
0.666 0.334 0.250
0.734 0.266 0.621
0.734 0.266 0.879
0.955 0.045 0.626
0.955 0.045 0.874
```

Largest 8 diffraction maxima, in order of rising 2θ, 2θ from 5° to 70°:
11.2 deg, d = 7.926 Å, I = 40; 12.8 deg, d = 6.903 Å, I = 57; 18.1 deg, d = 4.913 Å, I = 100; 22.1 deg, d = 4.031 Å, I = 78; 29.5 deg, d = 3.025 Å, I = 48; 33.8 deg, d = 2.654 Å, I = 33; 34.7 deg, d = 2.584 Å, I = 55; 38.5 deg, d = 2.341 Å, I = 68

=====

[7]
Starting from a DFT-relaxed cell (GGA-PBE, Alexandria), the powder diffractogram of Ir5C3 was computed for Cu Kα X-rays.

```
Ir5C3
1.0
5.662 0.000 0.000
0.000 6.681 0.000
-1.306 0.000 5.765
Ir C
10 6
direct
0.027 0.250 0.187
0.203 0.250 0.786
0.335 0.543 0.140
0.335 0.957 0.140
0.417 0.750 0.576
0.583 0.250 0.424
0.665 0.043 0.860
0.665 0.457 0.860
0.797 0.750 0.214
0.973 0.750 0.813
0.151 0.750 0.286
0.249 0.250 0.479
0.337 0.750 0.886
0.663 0.250 0.114
0.751 0.750 0.521
0.849 0.250 0.714
```

Largest 8 diffraction maxima, in order of rising 2θ, 2θ from 5° to 70°:
15.4 deg, d = 5.765 Å, I = 25; 31.0 deg, d = 2.888 Å, I = 31; 34.5 deg, d = 2.601 Å, I = 54; 35.2 deg, d = 2.552 Å, I = 37; 35.4 deg, d = 2.533 Å, I = 38; 36.7 deg, d = 2.452 Å, I = 100; 38.3 deg, d = 2.351 Å, I = 27; 41.9 deg, d = 2.157 Å, I = 44